This entry pairs a crystal structure of CdNiPt2O8 with its theoretical X-ray diffraction stick pattern. Radiation: CuKα. Structure: a DFT-relaxed cell (GGA+U, Alexandria).
Kinematic intensities with the Lorentz-polarization factor, no thermal factor.

Largest 10 diffraction maxima, in order of falling intensity, 5° ≤ 2θ ≤ 70°:
2θ (°), Rel. int., (hkl)
32.72, 100, 1 1 0
24.41, 83, 0 1 1
15.53, 79, 0 0 1
45.95, 66, 2 -1 2
36.41, 36, 2 -1 1
58.40, 27, 3 0 0
41.24, 25, 2 0 1
31.35, 24, 0 0 2
53.61, 21, 3 -2 1
51.79, 21, 0 1 3

```
data_CdNiPt2O8
_chemical_formula_sum 'Cd1 Ni1 Pt2 O8'
_space_group_name_H-M_alt 'P -3'
_space_group_IT_number 147
_cell_length_a 5.4737
_cell_length_b 5.4737
_cell_length_c 5.7062
_cell_angle_alpha 90.00
_cell_angle_beta 90.00
_cell_angle_gamma 120.00
loop_
_space_group_symop_operation_xyz
'x,y,z'
'-x,-y,-z'
'-y,x-y,z'
'y,-x+y,-z'
'-x+y,-x,z'
'x-y,x,-z'
loop_
_atom_site_label
_atom_site_type_symbol
_atom_site_fract_x
_atom_site_fract_y
_atom_site_fract_z
_atom_site_occupancy
Cd1 Cd 0.0000 0.0000 0.0000 1
Ni1 Ni 0.0000 0.0000 0.5000 1
Pt1 Pt 0.3333 0.6667 0.4473 1
O1 O 0.0538 0.3619 0.6578 1
O2 O 0.3333 0.6667 0.1141 1
```